[1]
The following is a theoretical powder XRD pattern of Ca3Tl2Hg7. It was derived from the PBE geometry in Alexandria, using λ = 1.5418 Å (Cu Kα).
Kinematic intensities with the Lorentz-polarization factor, no thermal factor.

Top 10 peaks for 5 to 70 degrees two-theta, sorted by position:
2θ/deg	intensity
16.09	433
22.83	607
31.46	1000
31.64	577
34.18	560
34.42	628
34.55	428
34.93	494
35.57	902
45.24	494

Cell and atoms:
Lattice parameters (Å, degrees): 5.0486 4.0084 16.6909 90.00 98.01 90.00
Element x y z (fractional)
Ca 0.0000 0.0000 0.0000
Ca 0.2982 0.5000 0.6265
Ca 0.7018 0.5000 0.3735
Tl 0.1685 0.0000 0.2828
Tl 0.8315 0.0000 0.7172
Hg 0.0933 0.5000 0.1414
Hg 0.2321 0.0000 0.4598
Hg 0.3893 0.0000 0.8304
Hg 0.5000 0.5000 0.0000
Hg 0.6107 0.0000 0.1696
Hg 0.7679 0.0000 0.5402
Hg 0.9067 0.5000 0.8586

---

[2]
The following is a theoretical powder XRD pattern of Ca6Tl2Hg. It was derived from the PBE geometry in Alexandria, using λ = 1.5418 Å (Cu Kα).
Kinematic intensities with the Lorentz-polarization factor, no thermal factor.

Top 10 peaks for 5 to 70 degrees two-theta, sorted by position:
2θ/deg	intensity
12.10	404
20.35	525
24.33	279
25.28	256
30.70	1000
31.92	501
32.96	328
36.85	203
46.98	184
50.29	266

Cell and atoms:
Lattice parameters (Å, degrees): 10.3363 10.3579 5.4350 90.00 90.00 90.00
Element x y z (fractional)
Ca 0.0299 0.1926 0.0000
Ca 0.1214 0.6194 0.5000
Ca 0.1920 0.9682 0.5000
Ca 0.3080 0.4682 0.0000
Ca 0.3786 0.1194 0.0000
Ca 0.4701 0.6926 0.5000
Ca 0.5299 0.3074 0.5000
Ca 0.6214 0.8806 0.0000
Ca 0.6920 0.5318 0.0000
Ca 0.8080 0.0318 0.5000
Ca 0.8786 0.3806 0.5000
Ca 0.9701 0.8074 0.0000
Tl 0.2080 0.2895 0.5000
Tl 0.2920 0.7895 0.0000
Tl 0.7080 0.2105 0.0000
Tl 0.7920 0.7105 0.5000
Hg 0.0000 0.5000 0.0000
Hg 0.5000 0.0000 0.5000

---

[3]
The following is a theoretical powder XRD pattern of Ca11Tl9Hg4. It was derived from the PBE geometry in Alexandria, using λ = 1.5418 Å (Cu Kα).
Kinematic intensities with the Lorentz-polarization factor, no thermal factor.

Top 10 peaks for 5 to 70 degrees two-theta, sorted by position:
2θ/deg	intensity
22.75	424
23.10	478
32.64	1000
32.89	602
40.37	335
46.47	137
52.51	115
58.10	256
58.58	247
68.40	120

Cell and atoms:
Lattice parameters (Å, degrees): 13.8777 13.8777 3.9086 90.00 90.00 112.50
Element x y z (fractional)
Ca 0.0000 0.0000 0.0000
Ca 0.0729 0.4140 0.0000
Ca 0.1647 0.8353 0.0000
Ca 0.2688 0.2688 0.0000
Ca 0.3515 0.6485 0.0000
Ca 0.4140 0.0729 0.0000
Ca 0.5860 0.9271 0.0000
Ca 0.6485 0.3515 0.0000
Ca 0.7312 0.7312 0.0000
Ca 0.8353 0.1647 0.0000
Ca 0.9271 0.5860 0.0000
Tl 0.0500 0.2076 0.5000
Tl 0.1435 0.6318 0.5000
Tl 0.2076 0.0500 0.5000
Tl 0.3682 0.8565 0.5000
Tl 0.5000 0.5000 0.5000
Tl 0.6318 0.1435 0.5000
Tl 0.7924 0.9500 0.5000
Tl 0.8565 0.3682 0.5000
Tl 0.9500 0.7924 0.5000
Hg 0.2616 0.4496 0.5000
Hg 0.4496 0.2616 0.5000
Hg 0.5504 0.7384 0.5000
Hg 0.7384 0.5504 0.5000

---

[4]
The following is a theoretical powder XRD pattern of Ca6Tl5Hg. It was derived from the PBE geometry in Alexandria, using λ = 1.5418 Å (Cu Kα).
Kinematic intensities with the Lorentz-polarization factor, no thermal factor.

Top 10 peaks for 5 to 70 degrees two-theta, sorted by position:
2θ/deg	intensity
22.75	335
23.06	650
32.59	1000
32.69	331
32.84	654
40.32	322
47.12	238
53.08	188
57.98	128
58.45	375

Cell and atoms:
Lattice parameters (Å, degrees): 5.4800 7.7218 8.6544 90.00 107.64 90.00
Element x y z (fractional)
Ca 0.0000 0.2468 0.0000
Ca 0.0000 0.7532 0.0000
Ca 0.3360 0.2495 0.6709
Ca 0.3360 0.7505 0.6709
Ca 0.6640 0.2495 0.3291
Ca 0.6640 0.7505 0.3291
Tl 0.1673 0.0000 0.3373
Tl 0.1672 0.5000 0.3354
Tl 0.5000 0.5000 0.0000
Tl 0.8327 0.0000 0.6627
Tl 0.8328 0.5000 0.6646
Hg 0.5000 0.0000 0.0000